Computed powder XRD pattern of U3Al3CoRu2 for Cu Kα, from a cell relaxed with PBE.
Neutral-atom scattering factors, no anomalous dispersion.

Top 10 peaks for 10 to 90 degrees two-theta, in order of falling intensity:
(hkl)  2theta  intensity
1 1 1  34.5  100
2 0 1  37.9  82
1 1 0  26.4  36
3 1 1  61.5  34
1 0 0  15.1  26
0 0 1  21.9  26
2 1 0  40.8  26
2 0 0  30.5  26
3 1 0  56.7  25
3 1 2  74.9  23

Crystal structure
Cell lengths 6.7600, 6.7600, 4.0609 Å; angles 90.00, 90.00, 120.00 degrees
Space group P-62m (No. 189)
Unique sites:
U 0.0000 0.4157 0.0000 x3
Al 0.0000 0.7686 0.5000 x3
Co 0.0000 0.0000 0.0000 x1
Ru 0.3333 0.6667 0.5000 x2